[1]
The following is a theoretical powder diffraction line list of Pa4CrGe8. It was derived from a cell relaxed with PBE, using CuKα.
Lines closer than 0.1° are merged.

Principal peaks in the range 2θ from 10° to 90°, in order of falling intensity:
| two_theta | I/Imax | index |
| --- | --- | --- |
| 35.3 | 100 | 1 1 3 |
| 24.5 | 29 | 1 0 2 |
| 35.6 | 22 | 0 1 5 |
| 44.2 | 18 | 0 2 0 |
| 44.4 | 18 | 2 0 0 |
| 40.4 | 18 | 1 0 6 |

Cell: 4.0813 4.0948 15.9835 Å, 90.00 90.00 90.00°
Element x y z (fractional)
Pa 0.0000 0.0000 0.0000
Pa 0.0000 0.5000 0.4854
Pa 0.5000 0.0000 0.7781
Pa 0.5000 0.5000 0.2809
Cr 0.0000 0.5000 0.7037
Ge 0.0000 0.0000 0.3253
Ge 0.0000 0.0000 0.6200
Ge 0.0000 0.5000 0.1413
Ge 0.0000 0.5000 0.8513
Ge 0.5000 0.0000 0.1398
Ge 0.5000 0.0000 0.4399
Ge 0.5000 0.5000 0.6200
Ge 0.5000 0.5000 0.9527

[2]
The following is a theoretical powder diffraction line list of PrHoAgHg. It was derived from a cell relaxed with PBE, using CuKα.
Lines closer than 0.1° are merged.

Principal peaks in the range 2θ from 10° to 90°, in order of falling intensity:
| two_theta | I/Imax | index |
| --- | --- | --- |
| 33.8 | 100 | 1 0 2 |
| 34.1 | 51 | 1 1 0 |
| 60.9 | 36 | 2 1 2 |
| 49.0 | 18 | 2 0 0 |
| 60.2 | 17 | 1 1 4 |
| 71.0 | 10 | 2 0 4 |

Cell: 3.7156 3.7156 7.5902 Å, 90.00 90.00 90.00°
Element x y z (fractional)
Pr 0.0000 0.0000 0.0000
Ho 0.0000 0.0000 0.4890
Ag 0.5000 0.5000 0.2712
Hg 0.5000 0.5000 0.7258

[3]
The following is a theoretical powder diffraction line list of Mo3Ru3C2. It was derived from a cell relaxed with PBE, using CuKα.
Lines closer than 0.1° are merged.

Principal peaks in the range 2θ from 10° to 90°, in order of falling intensity:
| two_theta | I/Imax | index |
| --- | --- | --- |
| 38.1 | 100 | 1 0 2 |
| 44.4 | 66 | 0 1 4 |
| 38.7 | 24 | 0 0 6 |
| 64.2 | 24 | 1 1 0 |
| 77.5 | 19 | 1 1 6 |
| 65.1 | 14 | 1 0 8 |

Cell: 2.9016 2.9016 13.9639 Å, 90.00 90.00 120.00°
Element x y z (fractional)
Mo 0.0000 0.0000 0.0000
Mo 0.3333 0.6667 0.8119
Mo 0.6667 0.3333 0.1881
Ru 0.0000 0.0000 0.5000
Ru 0.3333 0.6667 0.3462
Ru 0.6667 0.3333 0.6538
C 0.3333 0.6667 0.0987
C 0.6667 0.3333 0.9013